Theoretical XRD peak list of Li4AlInPd2 for a wavelength of 1.5418 Å, from the GGA-PBE geometry in OQMD.
Neutral-atom scattering factors, no anomalous dispersion.

Structural model:
a b c (Å): 4.377 4.377 6.255
angles (deg): 90.00 90.00 90.00
Element x y z (fractional)
Li 0.000 0.000 0.000
Li 0.000 0.500 0.239
Li 0.500 0.000 0.761
Li 0.500 0.500 0.500
Al 0.500 0.500 0.000
In 0.000 0.000 0.500
Pd 0.000 0.500 0.773
Pd 0.500 0.000 0.227

Most intense lines, 2θ = 10–80°, sorted by position:
(1 0 1), 24.8°, rel. 100
(1 1 1), 32.3°, rel. 13
(1 1 2), 41.0°, rel. 60
(2 0 0), 41.3°, rel. 31
(1 0 3), 48.4°, rel. 14
(2 1 1), 48.7°, rel. 31
(2 1 3), 65.4°, rel. 11
(3 1 2), 75.0°, rel. 19

Theoretical XRD peak list of Ta4AlInN2 for a wavelength of 1.5418 Å, from the GGA-PBE geometry in OQMD.
Neutral-atom scattering factors, no anomalous dispersion.

Structural model:
a b c (Å): 3.002 3.002 14.859
angles (deg): 90.00 90.00 120.00
Element x y z (fractional)
Ta 0.000 0.000 0.150
Ta 0.000 0.000 0.850
Ta 0.333 0.667 0.334
Ta 0.333 0.667 0.666
Al 0.333 0.667 0.000
In 0.000 0.000 0.500
N 0.667 0.333 0.242
N 0.667 0.333 0.758

Most intense lines, 2θ = 10–80°, sorted by position:
(0 0 2), 11.9°, rel. 15
(1 0 0), 34.5°, rel. 22
(0 0 6), 36.3°, rel. 22
(1 0 3), 39.1°, rel. 100
(1 0 6), 50.9°, rel. 15
(1 1 0), 61.8°, rel. 19
(1 1 6), 73.8°, rel. 17
(2 0 3), 75.6°, rel. 15

Theoretical XRD peak list of Nb2AlInPt2 for a wavelength of 1.5418 Å, from the GGA-PBE geometry in OQMD.
Neutral-atom scattering factors, no anomalous dispersion.

Structural model:
a b c (Å): 10.687 4.358 10.706
angles (deg): 90.00 109.46 90.00
Element x y z (fractional)
Nb 0.000 0.000 0.000
Nb 0.120 0.500 0.374
Nb 0.244 0.000 0.746
Nb 0.376 0.500 0.131
Nb 0.499 0.000 0.501
Nb 0.624 0.500 0.871
Nb 0.748 0.000 0.254
Nb 0.871 0.500 0.623
Al 0.249 0.000 0.252
Al 0.623 0.500 0.377
Al 0.748 0.000 0.747
Al 0.995 0.000 0.499
In 0.121 0.500 0.876
In 0.372 0.500 0.622
In 0.500 0.000 0.004
In 0.873 0.500 0.126
Pt 0.132 0.500 0.134
Pt 0.238 0.000 0.491
Pt 0.372 0.500 0.874
Pt 0.500 0.000 0.260
Pt 0.629 0.500 0.624
Pt 0.749 0.000 0.989
Pt 0.870 0.500 0.381
Pt 0.990 0.000 0.742

Most intense lines, 2θ = 10–80°, sorted by position:
(1 1 1), 25.0°, rel. 87
(4 1 0), 41.4°, rel. 100
(0 2 0), 41.4°, rel. 20
(5 1 -3), 48.9°, rel. 28
(3 2 -1), 49.0°, rel. 14
(4 2 -4), 60.0°, rel. 20
(4 1 -8), 75.3°, rel. 10
(0 3 4), 75.5°, rel. 23

Q: What is the formula in the third record?
A: Nb2AlInPt2